Calculated powder diffractogram of MnTc2Ru6 for Cu Kα (λ = 1.5418 Å), from DFT lattice parameters and positions (GGA-PBE).

Largest 12 diffraction maxima, by angle, 10 to 90 degrees two-theta:
2theta	Rel. int.	(hkl)
37.7	21	1 3 -1
39.1	23	5 1 -1
39.6	42	1 1 2
40.0	100	3 3 0
41.3	46	4 0 -2
41.6	32	2 0 2
41.9	31	3 3 -1
42.1	23	2 2 -2
44.0	21	4 2 1
44.7	43	6 0 0
46.1	26	3 3 1
48.7	45	1 3 -2

Structure:
a b c (Å): 12.4665 8.1206 5.1634
angles (deg): 90.00 102.50 90.00
Space group C2/c (No. 15)
One atom of each set of equivalent atoms:
Mn: 0.0000 0.0809 0.2500 [4 per cell]
Tc: 0.1762 0.4661 0.9090 [8 per cell]
Ru: 0.0043 0.3410 0.5022 [8 per cell]
Ru: 0.1322 0.1286 0.7795 [8 per cell]
Ru: 0.1818 0.2073 0.2930 [8 per cell]


Calculated powder diffractogram of NaLa2Pd2 for Cu Kα (λ = 1.5418 Å), from DFT lattice parameters and positions (GGA-PBE).

Largest 12 diffraction maxima, by angle, 10 to 90 degrees two-theta:
2theta	Rel. int.	(hkl)
15.3	29	1 1 0
21.7	7	2 0 0
31.5	7	2 0 1
33.4	100	2 1 1
34.6	27	3 1 0
44.2	11	4 0 0
46.1	17	0 0 2
47.1	10	3 3 0
51.5	11	4 1 1
58.9	11	3 1 2
65.8	23	5 2 1
77.2	9	2 1 3

Structure:
a b c (Å): 8.1887 8.1887 3.9367
angles (deg): 90.00 90.00 90.00
Space group P4/mbm (No. 127)
One atom of each set of equivalent atoms:
Na: 0.0000 0.0000 0.0000 [2 per cell]
La: 0.1619 0.3381 0.5000 [4 per cell]
Pd: 0.1312 0.6312 0.0000 [4 per cell]


Calculated powder diffractogram of PrH6Au2 for Cu Kα (λ = 1.5418 Å), from DFT lattice parameters and positions (GGA-PBE).

Largest 12 diffraction maxima, by angle, 10 to 90 degrees two-theta:
2theta	Rel. int.	(hkl)
22.1	40	2 2 0
27.8	47	1 3 1
28.4	58	3 1 1
30.9	100	0 4 0
31.1	81	2 0 2
31.9	30	4 0 0
36.0	44	3 3 1
44.4	47	2 4 2
45.0	34	4 4 0
58.0	29	1 7 1
58.9	20	5 1 3
59.9	43	2 2 4

Structure:
a b c (Å): 11.2307 11.5810 6.6892
angles (deg): 90.00 90.00 90.00
Space group Fdd2 (No. 43)
One atom of each set of equivalent atoms:
Pr: 0.0000 0.0000 0.0000 [8 per cell]
H: 0.0404 0.1879 0.1685 [16 per cell]
H: 0.0840 0.3199 0.4089 [16 per cell]
H: 0.0910 0.1021 0.6788 [16 per cell]
Au: 0.0355 0.2739 0.9088 [16 per cell]